Structure and computed powder diffraction line list of HgOsBr2 (the PBE geometry in Alexandria; Cu Kα (weighted mean of Kα1 and Kα2)).
Neutral-atom scattering factors, no anomalous dispersion.

```
data_HgOsBr2
_chemical_formula_sum 'Hg3 Os3 Br6'
_cell_length_a 3.8156
_cell_length_b 3.8156
_cell_length_c 31.1544
_cell_angle_alpha 90.00
_cell_angle_beta 90.00
_cell_angle_gamma 120.00
_space_group_name_H-M_alt 'R -3 m'
_space_group_IT_number 166
_space_group_name_Hall '-R 3 2"'
loop_
_atom_site_label
_atom_site_type_symbol
_atom_site_fract_x
_atom_site_fract_y
_atom_site_fract_z
Hg1 Hg 0.0000 0.0000 0.0000
Os1 Os 0.0000 0.0000 0.5000
Br1 Br 0.0000 0.0000 0.1259
```

Top 10 peaks for 10 to 80 degrees two-theta, in order of rising 2θ:
h k l	2theta	intensity
0 0 6	17.08	100
0 1 2	27.60	93
1 0 4	29.36	26
0 1 8	35.63	99
1 0 10	39.76	34
1 1 0	47.67	44
0 1 14	49.37	21
1 1 6	51.00	37
1 0 16	54.72	29
2 0 8	60.91	21